# 1
Structure and simulated X-ray diffraction stick pattern of Ac8As3P4 (DFT lattice parameters and positions (PBE); Cu Kα).
Lines closer than 0.1° are merged.

Most intense lines, 2θ = 10–90°, in order of rising 2θ:
2θ (°)  I_rel
24.38  82
28.22  100
40.33  64
47.69  43
49.91  14
50.01  14
58.37  13
66.05  24
73.27  13
73.41  14

Structure:
abc: 8.9430 8.9430 8.9308
angles: 119.94 119.94 90.01
Sites, in units of the cell vectors:
Ac 0.2424 0.2424 0.4895
Ac 0.2430 0.2430 0.9956
Ac 0.2450 0.7550 0.0000
Ac 0.2481 0.7519 0.5000
Ac 0.7519 0.2481 0.5000
Ac 0.7550 0.2450 0.0000
Ac 0.7570 0.7570 0.0044
Ac 0.7576 0.7576 0.5105
As 0.0000 0.5000 0.5000
As 0.5000 0.0000 0.5000
As 0.5000 0.5000 0.5000
P 0.0000 0.0000 0.0000
P 0.0000 0.0000 0.5000
P 0.0000 0.5000 0.0000
P 0.5000 0.0000 0.0000

# 2
Structure and simulated X-ray diffraction stick pattern of Cs2PbI3Br (DFT lattice parameters and positions (PBE); Cu Kα).
Lines closer than 0.1° are merged.

Most intense lines, 2θ = 10–90°, in order of rising 2θ:
2θ (°)  I_rel
15.45  26
20.39  87
27.21  35
27.38  100
28.18  66
29.80  57
39.63  64
40.89  35
41.47  46
50.39  38

Structure:
abc: 5.9970 6.3339 19.5655
angles: 90.00 90.00 90.00
Sites, in units of the cell vectors:
Cs 0.0000 0.0000 0.1383
Cs 0.0000 0.0000 0.8617
Cs 0.5000 0.5000 0.3617
Cs 0.5000 0.5000 0.6383
Pb 0.0000 0.0000 0.5000
Pb 0.5000 0.5000 0.0000
I 0.0000 0.0000 0.3344
I 0.0000 0.0000 0.6656
I 0.0000 0.5000 0.5000
I 0.5000 0.0000 0.0000
I 0.5000 0.5000 0.1656
I 0.5000 0.5000 0.8344
Br 0.0000 0.5000 0.0000
Br 0.5000 0.0000 0.5000

Repeat the second record exactly.
Structure and simulated X-ray diffraction stick pattern of Cs2PbI3Br (DFT lattice parameters and positions (PBE); Cu Kα).
Lines closer than 0.1° are merged.

Most intense lines, 2θ = 10–90°, in order of rising 2θ:
2θ (°)  I_rel
15.45  26
20.39  87
27.21  35
27.38  100
28.18  66
29.80  57
39.63  64
40.89  35
41.47  46
50.39  38

Structure:
abc: 5.9970 6.3339 19.5655
angles: 90.00 90.00 90.00
Sites, in units of the cell vectors:
Cs 0.0000 0.0000 0.1383
Cs 0.0000 0.0000 0.8617
Cs 0.5000 0.5000 0.3617
Cs 0.5000 0.5000 0.6383
Pb 0.0000 0.0000 0.5000
Pb 0.5000 0.5000 0.0000
I 0.0000 0.0000 0.3344
I 0.0000 0.0000 0.6656
I 0.0000 0.5000 0.5000
I 0.5000 0.0000 0.0000
I 0.5000 0.5000 0.1656
I 0.5000 0.5000 0.8344
Br 0.0000 0.5000 0.0000
Br 0.5000 0.0000 0.5000

> Which formula does entry 2 have?

Cs2PbI3Br